No. 1
This entry pairs a crystal structure of InSi3Ir3 with its simulated powder XRD pattern. Radiation: Cu Kα. Structure: a crystal structure in Alexandria, relaxed with PBE.

Structure:
a b c (Å): 6.5887 6.5887 6.5887
angles (deg): 90.00 90.00 90.00
Fractional positions:
1 In 0.0000 0.0000 0.0000
2 In 0.5000 0.5000 0.5000
3 Si 0.0000 0.2500 0.5000
4 Si 0.0000 0.7500 0.5000
5 Si 0.2500 0.5000 0.0000
6 Si 0.5000 0.0000 0.2500
7 Si 0.5000 0.0000 0.7500
8 Si 0.7500 0.5000 0.0000
9 Ir 0.0000 0.5000 0.2500
10 Ir 0.0000 0.5000 0.7500
11 Ir 0.2500 0.0000 0.5000
12 Ir 0.5000 0.2500 0.0000
13 Ir 0.5000 0.7500 0.0000
14 Ir 0.7500 0.0000 0.5000

Principal peaks in the range 2θ from 10° to 80°, in order of rising 2θ:
2θ/deg  Rel. int.
19.05  16
27.07  37
30.33  100
33.31  86
47.82  27
49.91  26
51.93  49
55.81  26
64.85  24
78.12  21

No. 2
This entry pairs a crystal structure of SrIn4Ir with its simulated powder XRD pattern. Radiation: Cu Kα. Structure: a crystal structure in Alexandria, relaxed with PBE.

Structure:
a b c (Å): 8.7787 4.3584 7.7595
angles (deg): 90.00 90.00 90.00
Fractional positions:
1 Sr 0.2500 0.0000 0.1046
2 Sr 0.7500 0.0000 0.8954
3 In 0.0000 0.0000 0.5000
4 In 0.0664 0.5000 0.8097
5 In 0.2500 0.5000 0.4398
6 In 0.4336 0.5000 0.8097
7 In 0.5000 0.0000 0.5000
8 In 0.5664 0.5000 0.1903
9 In 0.7500 0.5000 0.5602
10 In 0.9336 0.5000 0.1903
11 Ir 0.2500 0.0000 0.6899
12 Ir 0.7500 0.0000 0.3101

Principal peaks in the range 2θ from 10° to 80°, in order of rising 2θ:
2θ/deg  Rel. int.
11.40  43
15.24  65
31.13  70
32.54  100
37.18  100
38.84  65
40.51  42
41.44  55
63.63  32
72.81  31

No. 3
This entry pairs a crystal structure of Sr2In4Ir with its simulated powder XRD pattern. Radiation: Cu Kα. Structure: a crystal structure in Alexandria, relaxed with PBE.

Structure:
a b c (Å): 5.1191 5.1191 17.5008
angles (deg): 90.00 90.00 90.00
Fractional positions:
1 Sr 0.0000 0.0000 0.1570
2 Sr 0.0000 0.0000 0.8430
3 Sr 0.5000 0.5000 0.3430
4 Sr 0.5000 0.5000 0.6570
5 In 0.0000 0.0000 0.3457
6 In 0.0000 0.0000 0.6543
7 In 0.0000 0.5000 0.0000
8 In 0.0000 0.5000 0.5000
9 In 0.5000 0.0000 0.0000
10 In 0.5000 0.0000 0.5000
11 In 0.5000 0.5000 0.1543
12 In 0.5000 0.5000 0.8457
13 Ir 0.0000 0.0000 0.5000
14 Ir 0.5000 0.5000 0.0000

Principal peaks in the range 2θ from 10° to 80°, in order of rising 2θ:
2θ/deg  Rel. int.
10.11  95
18.05  74
24.59  48
30.65  65
32.09  43
35.06  100
39.70  43
47.25  78
50.42  35
60.17  37

No. 4
This entry pairs a crystal structure of Sr6In2Ir with its simulated powder XRD pattern. Radiation: Cu Kα. Structure: a crystal structure in Alexandria, relaxed with PBE.

Structure:
a b c (Å): 7.3265 9.2293 13.0014
angles (deg): 90.00 123.33 90.00
Fractional positions:
1 Sr 0.1086 0.1547 0.4450
2 Sr 0.1086 0.3453 0.9450
3 Sr 0.3026 0.7042 0.4404
4 Sr 0.3026 0.7958 0.9404
5 Sr 0.3560 0.0331 0.2444
6 Sr 0.3560 0.4669 0.7444
7 Sr 0.6440 0.5331 0.2556
8 Sr 0.6440 0.9669 0.7556
9 Sr 0.6974 0.2042 0.0596
10 Sr 0.6974 0.2958 0.5596
11 Sr 0.8914 0.6547 0.0550
12 Sr 0.8914 0.8453 0.5550
13 In 0.2024 0.1146 0.7615
14 In 0.2024 0.3854 0.2615
15 In 0.7976 0.6146 0.7385
16 In 0.7976 0.8854 0.2385
17 Ir 0.5000 0.0000 0.5000
18 Ir 0.5000 0.5000 0.0000

Principal peaks in the range 2θ from 10° to 80°, in order of rising 2θ:
2θ/deg  Rel. int.
12.59  100
14.70  65
24.15  38
27.33  85
27.64  47
28.27  38
31.20  42
31.54  88
32.98  44
46.16  45

No. 5
This entry pairs a crystal structure of Sr3In7Ir4 with its simulated powder XRD pattern. Radiation: Cu Kα. Structure: a crystal structure in Alexandria, relaxed with PBE.

Structure:
a b c (Å): 8.8556 8.8556 10.2452
angles (deg): 122.56 122.56 29.83
Fractional positions:
1 Sr 0.0000 0.0000 0.0000
2 Sr 0.3092 0.3092 0.2980
3 Sr 0.6908 0.6908 0.7020
4 In 0.0000 0.0000 0.5000
5 In 0.1659 0.1659 0.4272
6 In 0.3137 0.3137 0.9681
7 In 0.4964 0.4964 0.7220
8 In 0.5036 0.5036 0.2780
9 In 0.6863 0.6863 0.0319
10 In 0.8341 0.8341 0.5728
11 Ir 0.1135 0.1135 0.8263
12 Ir 0.3369 0.3369 0.7204
13 Ir 0.6631 0.6631 0.2796
14 Ir 0.8865 0.8865 0.1737

Principal peaks in the range 2θ from 10° to 80°, in order of rising 2θ:
2θ/deg  Rel. int.
17.33  48
31.86  87
32.80  96
32.91  100
37.28  43
37.98  52
39.54  99
40.66  48
40.86  50
62.21  38

No. 6
This entry pairs a crystal structure of Sr2In8Ir with its simulated powder XRD pattern. Radiation: Cu Kα. Structure: a crystal structure in Alexandria, relaxed with PBE.

Structure:
a b c (Å): 4.7952 4.7952 12.5963
angles (deg): 90.00 90.00 90.00
Fractional positions:
1 Sr 0.0000 0.0000 0.1957
2 Sr 0.0000 0.0000 0.8043
3 In 0.0000 0.5000 0.0000
4 In 0.0000 0.5000 0.3822
5 In 0.0000 0.5000 0.6178
6 In 0.5000 0.0000 0.0000
7 In 0.5000 0.0000 0.3822
8 In 0.5000 0.0000 0.6178
9 In 0.5000 0.5000 0.1918
10 In 0.5000 0.5000 0.8082
11 Ir 0.0000 0.0000 0.5000

Principal peaks in the range 2θ from 10° to 80°, in order of rising 2θ:
2θ/deg  Rel. int.
19.81  15
23.32  11
29.93  19
33.99  100
35.64  13
37.51  55
39.04  13
52.70  17
54.09  19
65.42  37

No. 7
This entry pairs a crystal structure of SrIn8Ir2 with its simulated powder XRD pattern. Radiation: Cu Kα. Structure: a crystal structure in Alexandria, relaxed with PBE.

Structure:
a b c (Å): 14.1094 16.3917 4.4454
angles (deg): 90.00 90.00 90.00
Fractional positions:
1 Sr 0.1574 0.1803 0.0000
2 Sr 0.3426 0.6803 0.0000
3 Sr 0.6574 0.3197 0.0000
4 Sr 0.8426 0.8197 0.0000
5 In 0.0000 0.0000 0.0000
6 In 0.0000 0.5000 0.5000
7 In 0.0196 0.8664 0.5000
8 In 0.0510 0.3162 0.5000
9 In 0.1009 0.7470 0.0000
10 In 0.1598 0.4563 0.0000
11 In 0.1671 0.6224 0.5000
12 In 0.1700 0.0116 0.5000
13 In 0.2402 0.8227 0.5000
14 In 0.2598 0.3227 0.5000
15 In 0.3300 0.5116 0.5000
16 In 0.3329 0.1224 0.5000
17 In 0.3402 0.9563 0.0000
18 In 0.3991 0.2470 0.0000
19 In 0.4490 0.8162 0.5000
20 In 0.4804 0.3664 0.5000
21 In 0.5000 0.0000 0.5000
22 In 0.5000 0.5000 0.0000
23 In 0.5196 0.6336 0.5000
24 In 0.5510 0.1838 0.5000
25 In 0.6009 0.7530 0.0000
26 In 0.6598 0.0437 0.0000
27 In 0.6671 0.8776 0.5000
28 In 0.6700 0.4884 0.5000
29 In 0.7402 0.6773 0.5000
30 In 0.7598 0.1773 0.5000
31 In 0.8300 0.9884 0.5000
32 In 0.8329 0.3776 0.5000
33 In 0.8402 0.5437 0.0000
34 In 0.8991 0.2530 0.0000
35 In 0.9490 0.6838 0.5000
36 In 0.9804 0.1336 0.5000
37 Ir 0.0340 0.5963 0.0000
38 Ir 0.1541 0.9038 0.0000
39 Ir 0.3459 0.4038 0.0000
40 Ir 0.4660 0.0963 0.0000
41 Ir 0.5340 0.9037 0.0000
42 Ir 0.6541 0.5962 0.0000
43 Ir 0.8459 0.0962 0.0000
44 Ir 0.9660 0.4037 0.0000

Principal peaks in the range 2θ from 10° to 80°, in order of rising 2θ:
2θ/deg  Rel. int.
12.51  28
13.67  34
30.33  55
32.19  79
32.87  23
38.71  69
39.15  82
39.39  68
40.59  100
58.76  26

No. 8
This entry pairs a crystal structure of Tb6In3Ir with its simulated powder XRD pattern. Radiation: Cu Kα. Structure: a crystal structure in Alexandria, relaxed with PBE.

Structure:
a b c (Å): 9.2745 5.2699 11.4255
angles (deg): 90.00 107.53 90.00
Fractional positions:
1 Tb 0.0438 0.2500 0.4164
2 Tb 0.1884 0.7500 0.1671
3 Tb 0.2820 0.2500 0.0022
4 Tb 0.3519 0.7500 0.8284
5 Tb 0.3718 0.2500 0.3435
6 Tb 0.4000 0.2500 0.6443
7 Tb 0.6000 0.7500 0.3557
8 Tb 0.6282 0.7500 0.6565
9 Tb 0.6481 0.2500 0.1716
10 Tb 0.7180 0.7500 0.9978
11 Tb 0.8116 0.2500 0.8329
12 Tb 0.9562 0.7500 0.5836
13 In 0.0127 0.7500 0.8788
14 In 0.0975 0.2500 0.7180
15 In 0.2762 0.7500 0.4757
16 In 0.7238 0.2500 0.5243
17 In 0.9025 0.7500 0.2820
18 In 0.9873 0.2500 0.1212
19 Ir 0.4581 0.7500 0.0951
20 Ir 0.5419 0.2500 0.9049

Principal peaks in the range 2θ from 10° to 80°, in order of rising 2θ:
2θ/deg  Rel. int.
31.69  10
33.02  17
33.62  50
33.97  100
34.42  10
37.29  10
48.15  12
48.90  8
60.65  12
60.87  20

No. 9
This entry pairs a crystal structure of TbInIr with its simulated powder XRD pattern. Radiation: Cu Kα. Structure: a crystal structure in Alexandria, relaxed with PBE.

Structure:
a b c (Å): 7.4106 4.1261 12.8210
angles (deg): 90.00 91.25 90.00
Fractional positions:
1 Tb 0.0423 0.2500 0.1205
2 Tb 0.1553 0.2500 0.4191
3 Tb 0.4477 0.7500 0.7844
4 Tb 0.5523 0.2500 0.2156
5 Tb 0.8447 0.7500 0.5809
6 Tb 0.9577 0.7500 0.8795
7 In 0.1150 0.2500 0.7047
8 In 0.3589 0.7500 0.0438
9 In 0.4946 0.7500 0.4130
10 In 0.5054 0.2500 0.5870
11 In 0.6411 0.2500 0.9562
12 In 0.8850 0.7500 0.2953
13 Ir 0.2494 0.2500 0.9128
14 Ir 0.2489 0.7500 0.5827
15 Ir 0.2521 0.7500 0.2479
16 Ir 0.7479 0.2500 0.7521
17 Ir 0.7511 0.2500 0.4173
18 Ir 0.7506 0.7500 0.0872

Principal peaks in the range 2θ from 10° to 80°, in order of rising 2θ:
2θ/deg  Rel. int.
32.32  81
32.48  75
32.67  67
35.23  93
35.47  82
35.67  86
41.85  48
42.31  46
42.68  51
43.89  100

No. 10
This entry pairs a crystal structure of TbIn2Ir with its simulated powder XRD pattern. Radiation: Cu Kα. Structure: a crystal structure in Alexandria, relaxed with PBE.

Structure:
a b c (Å): 15.5851 8.2487 5.5792
angles (deg): 90.00 90.00 90.00
Fractional positions:
1 Tb 0.1034 0.2500 0.2412
2 Tb 0.1393 0.7500 0.4587
3 Tb 0.3607 0.2500 0.9587
4 Tb 0.3966 0.7500 0.7412
5 Tb 0.6034 0.2500 0.2588
6 Tb 0.6393 0.7500 0.0413
7 Tb 0.8607 0.2500 0.5413
8 Tb 0.8966 0.7500 0.7588
9 In 0.0373 0.0495 0.7465
10 In 0.0373 0.4505 0.7465
11 In 0.2147 0.5477 0.9745
12 In 0.2147 0.9523 0.9745
13 In 0.2853 0.0477 0.4745
14 In 0.2853 0.4523 0.4745
15 In 0.4627 0.5495 0.2465
16 In 0.4627 0.9505 0.2465
17 In 0.5373 0.0495 0.7535
18 In 0.5373 0.4505 0.7535
19 In 0.7147 0.5477 0.5255
20 In 0.7147 0.9523 0.5255
21 In 0.7853 0.0477 0.0255
22 In 0.7853 0.4523 0.0255
23 In 0.9627 0.5495 0.2535
24 In 0.9627 0.9505 0.2535
25 Ir 0.0705 0.7500 0.9701
26 Ir 0.1827 0.2500 0.7549
27 Ir 0.3173 0.7500 0.2549
28 Ir 0.4295 0.2500 0.4701
29 Ir 0.5705 0.7500 0.5299
30 Ir 0.6827 0.2500 0.7451
31 Ir 0.8173 0.7500 0.2451
32 Ir 0.9295 0.2500 0.0299

Principal peaks in the range 2θ from 10° to 80°, in order of rising 2θ:
2θ/deg  Rel. int.
31.59  60
32.02  29
34.71  30
35.55  32
35.88  100
38.25  65
40.14  27
40.73  46
43.90  27
66.98  25

No. 11
This entry pairs a crystal structure of Th11In9Ir4 with its simulated powder XRD pattern. Radiation: Cu Kα. Structure: a crystal structure in Alexandria, relaxed with PBE.

Structure:
a b c (Å): 13.5035 13.5035 3.8325
angles (deg): 90.00 90.00 112.90
Fractional positions:
1 Th 0.0000 0.0000 0.0000
2 Th 0.0761 0.4172 0.0000
3 Th 0.1553 0.8447 0.0000
4 Th 0.3124 0.3124 0.0000
5 Th 0.3738 0.6262 0.0000
6 Th 0.4172 0.0761 0.0000
7 Th 0.5828 0.9239 0.0000
8 Th 0.6262 0.3738 0.0000
9 Th 0.6876 0.6876 0.0000
10 Th 0.8447 0.1553 0.0000
11 Th 0.9239 0.5828 0.0000
12 In 0.0761 0.2175 0.5000
13 In 0.1578 0.6375 0.5000
14 In 0.2175 0.0761 0.5000
15 In 0.3625 0.8422 0.5000
16 In 0.5000 0.5000 0.5000
17 In 0.6375 0.1578 0.5000
18 In 0.7825 0.9239 0.5000
19 In 0.8422 0.3625 0.5000
20 In 0.9239 0.7825 0.5000
21 Ir 0.2462 0.4463 0.5000
22 Ir 0.4463 0.2462 0.5000
23 Ir 0.5537 0.7538 0.5000
24 Ir 0.7538 0.5537 0.5000

Principal peaks in the range 2θ from 10° to 80°, in order of rising 2θ:
2θ/deg  Rel. int.
30.66  11
31.80  14
33.47  100
33.88  36
35.65  24
37.01  11
37.24  10
47.44  17
59.57  14
61.66  11

- What is the formula in the fourth record?
  Sr6In2Ir